Entry 1:
Theoretical PXRD pattern of MgMo2S4 for Cu Kα, from DFT lattice parameters and positions (GGA-PBE).

Principal peaks in the range 2θ from 10° to 90°, in order of falling intensity:
- 10.16 deg, d = 8.705 Å, I = 100, (0 0 2)
- 41.80 deg, d = 2.161 Å, I = 25, (1 0 5)
- 36.07 deg, d = 2.490 Å, I = 19, (0 1 3)
- 34.12 deg, d = 2.628 Å, I = 15, (0 1 2)
- 49.35 deg, d = 1.847 Å, I = 11, (0 1 7)
- 57.95 deg, d = 1.591 Å, I = 8, (1 1 0)
- 32.48 deg, d = 2.756 Å, I = 7, (1 0 0)
- 20.40 deg, d = 4.352 Å, I = 6, (0 0 4)
- 59.00 deg, d = 1.565 Å, I = 6, (1 1 2)
- 32.90 deg, d = 2.723 Å, I = 5, (1 0 1)

Atomic structure:
```
data_MgMo2S4
_symmetry_space_group_name_H-M 'P -3 m 1'
_symmetry_Int_Tables_number 164
_symmetry_space_group_name_Hall '-P 3 2"'
_cell_length_a 3.1828
_cell_length_b 3.1828
_cell_length_c 17.4098
_cell_angle_alpha 90.00
_cell_angle_beta 90.00
_cell_angle_gamma 120.00
loop_
_atom_site_label
_atom_site_type_symbol
_atom_site_fract_x
_atom_site_fract_y
_atom_site_fract_z
Mg1 Mg 0.0000 0.0000 0.0000
Mo1 Mo 0.3333 0.6667 0.7401
S1 S 0.3333 0.6667 0.1687
S2 S 0.3333 0.6667 0.3500
```



Entry 2:
Theoretical PXRD pattern of CaAl2Si4O12 for Cu Kα, from DFT lattice parameters and positions (GGA-PBE).

Principal peaks in the range 2θ from 10° to 90°, in order of falling intensity:
- 35.79 deg, d = 2.509 Å, I = 100, (1 3 1)
- 20.31 deg, d = 4.372 Å, I = 73, (1 1 -1)
- 43.94 deg, d = 2.061 Å, I = 64, (2 0 -6)
- 58.74 deg, d = 1.572 Å, I = 59, (2 0 -10)
- 26.73 deg, d = 3.335 Å, I = 59, (1 1 -4)
- 24.76 deg, d = 3.596 Å, I = 58, (0 2 3)
- 31.44 deg, d = 2.846 Å, I = 58, (0 2 5)
- 23.81 deg, d = 3.737 Å, I = 57, (1 1 -3)
- 28.94 deg, d = 3.085 Å, I = 49, (1 1 4)
- 62.99 deg, d = 1.476 Å, I = 49, (3 3 -1)

Atomic structure:
```
data_CaAl2Si4O12
_symmetry_space_group_name_H-M 'C 1 2/c 1'
_symmetry_Int_Tables_number 15
_cell_length_a 5.1179
_cell_length_b 8.8239
_cell_length_c 18.6950
_cell_angle_alpha 90.00
_cell_angle_beta 95.15
_cell_angle_gamma 90.00
loop_
_symmetry_equiv_pos_as_xyz
'x,y,z'
'-x,-y,-z'
'-x,y,-z+1/2'
'x,-y,z+1/2'
'x+1/2,y+1/2,z'
'-x+1/2,-y+1/2,-z'
'-x+1/2,y+1/2,-z+1/2'
'x+1/2,-y+1/2,z+1/2'
loop_
_atom_site_label
_atom_site_type_symbol
_atom_site_fract_x
_atom_site_fract_y
_atom_site_fract_z
Ca1 Ca 0.0000 0.1001 0.2500
Al1 Al 0.2215 0.0733 0.0005
Si1 Si 0.0436 0.4308 0.3621
Si2 Si 0.0452 0.2346 0.8631
O1 O 0.0110 0.0314 0.4318
O2 O 0.0308 0.4298 0.4463
O3 O 0.0905 0.4037 0.8223
O4 O 0.1012 0.2598 0.9469
O5 O 0.2427 0.3061 0.3274
O6 O 0.2488 0.3743 0.1792
```